No. 1
Simulated powder XRD pattern
Compound: Ba4TiCu3O9
Radiation: Cu Kα
Structure: a DFT-relaxed cell (GGA-PBE, Alexandria)
Neutral-atom scattering factors, no anomalous dispersion.

Principal peaks in the range 15 to 90 degrees two-theta, low angle first:
| Position (°2θ) | I/Imax | h k l |
| --- | --- | --- |
| 22.32 | 10.3 | 2 0 0 |
| 31.77 | 100.0 | 2 2 0 |
| 39.18 | 12.1 | 2 2 2 |
| 45.55 | 28.5 | 4 0 0 |
| 51.29 | 5.2 | 4 2 0 |
| 56.61 | 38.0 | 4 2 2 |
| 66.39 | 17.1 | 4 4 0 |
| 71.00 | 2.9 | 4 4 2 |
| 75.48 | 16.3 | 6 2 0 |
| 79.88 | 4.2 | 6 2 2 |
| 84.21 | 5.8 | 4 4 4 |
| 88.52 | 1.5 | 6 4 0 |

Cell and atoms:
```
data_Ba4TiCu3O9
_space_group_name_H-M_alt 'P m -3 n'
_space_group_IT_number 223
_space_group_name_Hall '-P 4n 2 3'
_cell_length_a 7.9656
_cell_length_b 7.9656
_cell_length_c 7.9656
_cell_angle_alpha 90.00
_cell_angle_beta 90.00
_cell_angle_gamma 90.00
loop_
_atom_site_label
_atom_site_fract_x
_atom_site_fract_y
_atom_site_fract_z
Ba1 0.2500 0.2500 0.2500
Ti1 0.0000 0.0000 0.0000
Cu1 0.0000 0.0000 0.5000
O1 0.0000 0.0000 0.2537
O2 0.0000 0.2500 0.5000
```

---

No. 2
Simulated powder XRD pattern
Compound: NbZn11
Radiation: Cu Kα
Structure: a DFT-relaxed cell (GGA-PBE, Alexandria)
Neutral-atom scattering factors, no anomalous dispersion.

Principal peaks in the range 15 to 90 degrees two-theta, low angle first:
| Position (°2θ) | I/Imax | h k l |
| --- | --- | --- |
| 33.98 | 34.4 | 3 2 1 |
| 38.30 | 100.0 | 3 1 2 |
| 39.00 | 66.1 | 4 2 0 |
| 40.95 | 31.4 | 1 0 3 |
| 44.12 | 13.0 | 4 0 2 |
| 44.70 | 27.3 | 2 1 3 |
| 45.94 | 80.5 | 5 0 1 |
| 47.67 | 31.2 | 4 2 2 |
| 60.30 | 13.3 | 2 2 4 |
| 70.18 | 30.7 | 5 5 2 |
| 75.51 | 18.6 | 3 0 5 |
| 83.77 | 14.4 | 8 4 0 |

Cell and atoms:
```
data_NbZn11
_space_group_name_H-M_alt 'I 41/a m d'
_space_group_IT_number 141
_cell_length_a 10.3280
_cell_length_b 10.3280
_cell_length_c 6.7680
_cell_angle_alpha 90.00
_cell_angle_beta 90.00
_cell_angle_gamma 90.00
loop_
_space_group_symop_operation_xyz
'x,y,z'
'-x,-y,-z'
'-y+1/4,x+3/4,z+1/4'
'y+1/4,-x+3/4,-z+1/4'
'-x+1/2,-y,z+1/2'
'x+1/2,y,-z+1/2'
'y+1/4,-x+1/4,z+3/4'
'-y+1/4,x+1/4,-z+3/4'
'x,-y,-z'
'-x,y,z'
'-y+1/4,-x+1/4,-z+3/4'
'y+1/4,x+1/4,z+3/4'
'-x+1/2,y,-z+1/2'
'x+1/2,-y,z+1/2'
'y+1/4,x+3/4,-z+1/4'
'-y+1/4,-x+3/4,z+1/4'
'x+1/2,y+1/2,z+1/2'
'-x+1/2,-y+1/2,-z+1/2'
'-y+3/4,x+1/4,z+3/4'
'y+3/4,-x+1/4,-z+3/4'
'-x,-y+1/2,z'
'x,y+1/2,-z'
'y+3/4,-x+3/4,z+1/4'
'-y+3/4,x+3/4,-z+1/4'
'x+1/2,-y+1/2,-z+1/2'
'-x+1/2,y+1/2,z+1/2'
'-y+3/4,-x+3/4,-z+1/4'
'y+3/4,x+3/4,z+1/4'
'-x,y+1/2,-z'
'x,-y+1/2,z'
'y+3/4,x+1/4,-z+3/4'
'-y+3/4,-x+1/4,z+3/4'
loop_
_atom_site_label
_atom_site_fract_x
_atom_site_fract_y
_atom_site_fract_z
Nb1 0.0000 0.2500 0.3750
Zn1 0.0000 0.0000 0.0000
Zn2 0.0000 0.2500 0.8750
Zn3 0.1195 0.0464 0.6715
```

---

No. 3
Simulated powder XRD pattern
Compound: Tm2Ga5Rh3
Radiation: Cu Kα
Structure: a DFT-relaxed cell (GGA-PBE, Alexandria)
Neutral-atom scattering factors, no anomalous dispersion.

Principal peaks in the range 15 to 90 degrees two-theta, low angle first:
| Position (°2θ) | I/Imax | h k l |
| --- | --- | --- |
| 27.62 | 19.3 | 0 4 0 |
| 31.88 | 25.6 | 0 0 2 |
| 33.26 | 80.1 | 2 4 0 |
| 34.75 | 97.6 | 3 2 1 |
| 36.80 | 22.3 | 4 0 0 |
| 36.92 | 79.7 | 2 0 2 |
| 39.39 | 32.3 | 1 3 2 |
| 40.90 | 42.4 | 4 1 1 |
| 42.64 | 100.0 | 0 4 2 |
| 58.64 | 20.4 | 3 2 3 |
| 66.59 | 22.5 | 0 0 4 |
| 66.77 | 19.3 | 3 8 1 |

Cell and atoms:
```
data_Tm2Ga5Rh3
_space_group_name_H-M_alt 'I b a m'
_space_group_IT_number 72
_space_group_name_Hall '-I 2 2c'
_cell_length_a 9.7684
_cell_length_b 12.9202
_cell_length_c 5.6175
_cell_angle_alpha 90.00
_cell_angle_beta 90.00
_cell_angle_gamma 90.00
loop_
_atom_site_label
_atom_site_fract_x
_atom_site_fract_y
_atom_site_fract_z
Tm1 0.2248 0.1461 0.0000
Ga1 0.0000 0.0000 0.2500
Ga2 0.0000 0.3010 0.2500
Ga3 0.1832 0.4171 0.0000
Rh1 0.0000 0.5000 0.2500
Rh2 0.0835 0.1527 0.5000
```

---

No. 4
Simulated powder XRD pattern
Compound: LaDy7Tm3
Radiation: Cu Kα
Structure: a DFT-relaxed cell (GGA-PBE, Alexandria)
Neutral-atom scattering factors, no anomalous dispersion.

Principal peaks in the range 15 to 90 degrees two-theta, low angle first:
| Position (°2θ) | I/Imax | h k l |
| --- | --- | --- |
| 31.44 | 18.4 | 1 1 2 |
| 31.73 | 71.0 | 2 1 0 |
| 32.04 | 26.7 | 1 1 -3 |
| 32.24 | 100.0 | 0 2 0 |
| 32.72 | 15.7 | 2 0 -3 |
| 33.14 | 53.6 | 0 1 3 |
| 45.93 | 11.9 | 2 2 1 |
| 46.63 | 11.8 | 2 2 -3 |
| 52.89 | 11.6 | 4 0 -2 |
| 57.22 | 10.3 | 2 3 0 |
| 58.11 | 20.3 | 0 3 3 |
| 63.34 | 13.5 | 4 2 -2 |

Cell and atoms:
```
data_LaDy7Tm3
_space_group_name_H-M_alt 'P 1 2/m 1'
_space_group_IT_number 10
_space_group_name_Hall '-P 2y'
_cell_length_a 6.9276
_cell_length_b 5.5453
_cell_length_c 9.8194
_cell_angle_alpha 90.00
_cell_angle_beta 108.94
_cell_angle_gamma 90.00
loop_
_atom_site_label
_atom_site_fract_x
_atom_site_fract_y
_atom_site_fract_z
La1 0.0000 0.0000 0.0000
Dy1 0.0000 0.0000 0.5000
Dy2 0.1465 0.5000 0.7893
Dy3 0.3296 0.5000 0.1433
Dy4 0.4288 0.0000 0.3328
Tm1 0.2749 0.5000 0.4948
Tm2 0.5000 0.0000 0.0000
```

---

No. 5
Simulated powder XRD pattern
Compound: HgGe2I4
Radiation: Cu Kα
Structure: a DFT-relaxed cell (GGA-PBE, Alexandria)
Neutral-atom scattering factors, no anomalous dispersion.

Principal peaks in the range 15 to 90 degrees two-theta, low angle first:
| Position (°2θ) | I/Imax | h k l |
| --- | --- | --- |
| 24.09 | 9.7 | 1 0 1 |
| 24.69 | 20.7 | 0 0 15 |
| 26.70 | 100.0 | 1 0 7 |
| 27.47 | 33.8 | 0 1 8 |
| 32.37 | 8.9 | 1 0 13 |
| 33.52 | 21.8 | 0 1 14 |
| 35.97 | 17.1 | 1 0 16 |
| 42.28 | 38.1 | 1 1 0 |
| 45.70 | 18.1 | 0 1 23 |
| 49.57 | 18.7 | 1 1 15 |
| 50.69 | 22.5 | 0 2 7 |
| 68.06 | 27.4 | 2 1 7 |

Cell and atoms:
```
data_HgGe2I4
_space_group_name_H-M_alt 'R -3 m'
_space_group_IT_number 166
_space_group_name_Hall '-R 3 2"'
_cell_length_a 4.2751
_cell_length_b 4.2751
_cell_length_c 54.0969
_cell_angle_alpha 90.00
_cell_angle_beta 90.00
_cell_angle_gamma 120.00
loop_
_atom_site_label
_atom_site_fract_x
_atom_site_fract_y
_atom_site_fract_z
Hg1 0.0000 0.0000 0.0000
Ge1 0.0000 0.0000 0.4300
I1 0.0000 0.0000 0.1292
I2 0.0000 0.0000 0.2691
```

---

No. 6
Simulated powder XRD pattern
Compound: Li2Tl2SbS4
Radiation: Cu Kα
Structure: a DFT-relaxed cell (GGA-PBE, Alexandria)
Neutral-atom scattering factors, no anomalous dispersion.

Principal peaks in the range 15 to 90 degrees two-theta, low angle first:
| Position (°2θ) | I/Imax | h k l |
| --- | --- | --- |
| 21.25 | 21.1 | 2 0 1 |
| 23.49 | 49.8 | 1 1 0 |
| 24.07 | 20.3 | 2 0 -2 |
| 24.40 | 41.9 | 4 0 -1 |
| 25.60 | 29.6 | 0 0 2 |
| 29.13 | 20.2 | 4 0 -2 |
| 29.62 | 31.7 | 3 1 -1 |
| 29.94 | 29.4 | 3 1 0 |
| 33.13 | 100.0 | 1 1 -2 |
| 35.44 | 42.0 | 3 1 1 |
| 38.12 | 35.3 | 4 0 -3 |
| 49.98 | 26.8 | 7 1 -2 |

Cell and atoms:
```
data_Li2Tl2SbS4
_space_group_name_H-M_alt 'C 1 2/m 1'
_space_group_IT_number 12
_space_group_name_Hall '-C 2y'
_cell_length_a 14.7295
_cell_length_b 3.9411
_cell_length_c 7.4793
_cell_angle_alpha 90.00
_cell_angle_beta 111.43
_cell_angle_gamma 90.00
loop_
_atom_site_label
_atom_site_fract_x
_atom_site_fract_y
_atom_site_fract_z
Li1 0.1818 0.0000 0.4854
Tl1 0.1392 0.5000 0.0542
Sb1 0.0000 0.5000 0.5000
S1 0.0143 0.0000 0.2635
S2 0.1946 0.5000 0.6774
```

---

No. 7
Simulated powder XRD pattern
Compound: PrEu2Ho
Radiation: Cu Kα
Structure: a DFT-relaxed cell (GGA-PBE, Alexandria)
Neutral-atom scattering factors, no anomalous dispersion.

Principal peaks in the range 15 to 90 degrees two-theta, low angle first:
| Position (°2θ) | I/Imax | h k l |
| --- | --- | --- |
| 29.08 | 34.2 | 0 0 12 |
| 29.48 | 100.0 | 1 0 4 |
| 34.06 | 68.3 | 0 1 8 |
| 48.67 | 24.7 | 1 0 16 |
| 49.20 | 24.3 | 1 1 0 |
| 57.70 | 14.7 | 0 1 20 |
| 58.17 | 29.2 | 1 1 12 |
| 58.40 | 14.5 | 0 2 4 |
| 61.19 | 12.6 | 2 0 8 |
| 79.78 | 11.9 | 2 1 4 |
| 81.42 | 11.1 | 1 1 24 |
| 82.22 | 11.0 | 1 2 8 |

Cell and atoms:
```
data_PrEu2Ho
_space_group_name_H-M_alt 'R -3 m'
_space_group_IT_number 166
_space_group_name_Hall '-R 3 2"'
_cell_length_a 3.7041
_cell_length_b 3.7041
_cell_length_c 36.8492
_cell_angle_alpha 90.00
_cell_angle_beta 90.00
_cell_angle_gamma 120.00
loop_
_atom_site_label
_atom_site_fract_x
_atom_site_fract_y
_atom_site_fract_z
Pr1 0.0000 0.0000 0.0000
Eu1 0.0000 0.0000 0.2482
Ho1 0.0000 0.0000 0.5000
```

---

No. 8
Simulated powder XRD pattern
Compound: Tb4As3
Radiation: Cu Kα
Structure: a DFT-relaxed cell (GGA-PBE, Alexandria)
Neutral-atom scattering factors, no anomalous dispersion.

Principal peaks in the range 15 to 90 degrees two-theta, low angle first:
| Position (°2θ) | I/Imax | h k l |
| --- | --- | --- |
| 24.93 | 12.8 | 2 1 1 |
| 28.86 | 14.9 | 2 2 0 |
| 32.36 | 100.0 | 3 1 0 |
| 38.50 | 62.3 | 3 2 1 |
| 48.82 | 7.9 | 3 3 2 |
| 51.14 | 19.4 | 4 2 2 |
| 53.39 | 33.4 | 4 3 1 |
| 65.80 | 21.5 | 6 1 1 |
| 67.73 | 11.8 | 6 2 0 |
| 69.64 | 14.5 | 5 4 1 |
| 80.70 | 14.2 | 7 2 1 |
| 87.86 | 7.2 | 6 5 1 |

Cell and atoms:
```
data_Tb4As3
_space_group_name_H-M_alt 'I -4 3 d'
_space_group_IT_number 220
_space_group_name_Hall 'I -4bd 2c 3'
_cell_length_a 8.7496
_cell_length_b 8.7496
_cell_length_c 8.7496
_cell_angle_alpha 90.00
_cell_angle_beta 90.00
_cell_angle_gamma 90.00
loop_
_atom_site_label
_atom_site_fract_x
_atom_site_fract_y
_atom_site_fract_z
Tb1 0.0673 0.0673 0.0673
As1 0.0000 0.2500 0.3750
```

---

No. 9
Simulated powder XRD pattern
Compound: SmZn2Au10
Radiation: Cu Kα
Structure: a DFT-relaxed cell (GGA-PBE, Alexandria)
Neutral-atom scattering factors, no anomalous dispersion.

Principal peaks in the range 15 to 90 degrees two-theta, low angle first:
| Position (°2θ) | I/Imax | h k l |
| --- | --- | --- |
| 29.88 | 11.0 | 0 2 4 |
| 32.44 | 18.4 | 2 0 0 |
| 32.72 | 30.4 | 1 3 3 |
| 37.75 | 30.0 | 2 2 2 |
| 38.02 | 100.0 | 0 4 4 |
| 42.48 | 54.3 | 2 0 4 |
| 42.73 | 38.1 | 0 2 6 |
| 61.58 | 15.5 | 3 5 1 |
| 65.43 | 9.3 | 1 9 1 |
| 68.58 | 17.8 | 2 6 6 |
| 68.74 | 18.4 | 1 3 9 |
| 87.11 | 10.3 | 3 3 9 |

Cell and atoms:
```
data_SmZn2Au10
_space_group_name_H-M_alt 'F m m m'
_space_group_IT_number 69
_space_group_name_Hall '-F 2 2'
_cell_length_a 5.5190
_cell_length_b 13.3692
_cell_length_c 13.3736
_cell_angle_alpha 90.00
_cell_angle_beta 90.00
_cell_angle_gamma 90.00
loop_
_atom_site_label
_atom_site_fract_x
_atom_site_fract_y
_atom_site_fract_z
Sm1 0.0000 0.0000 0.0000
Zn1 0.2500 0.2500 0.0000
Au1 0.0000 0.1114 0.3956
Au2 0.0000 0.1744 0.1621
Au3 0.2500 0.0000 0.2500
```

---

No. 10
Simulated powder XRD pattern
Compound: NdEr3Tm3
Radiation: Cu Kα
Structure: a DFT-relaxed cell (GGA-PBE, Alexandria)
Neutral-atom scattering factors, no anomalous dispersion.

Principal peaks in the range 15 to 90 degrees two-theta, low angle first:
| Position (°2θ) | I/Imax | h k l |
| --- | --- | --- |
| 31.08 | 62.9 | 2 0 2 |
| 31.46 | 87.3 | 4 0 -2 |
| 31.96 | 100.0 | 3 5 0 |
| 34.41 | 68.3 | 6 0 0 |
| 37.75 | 59.8 | 1 5 -2 |
| 51.75 | 16.8 | 5 5 2 |
| 52.26 | 25.5 | 7 5 -2 |
| 53.46 | 12.4 | 6 4 2 |
| 53.57 | 11.3 | 2 0 -4 |
| 60.08 | 21.8 | 10 0 -2 |
| 63.98 | 11.9 | 5 5 -4 |
| 64.82 | 12.5 | 2 10 2 |

Cell and atoms:
```
data_NdEr3Tm3
_space_group_name_H-M_alt 'C 1 m 1'
_space_group_IT_number 8
_space_group_name_Hall 'C -2y'
_cell_length_a 15.9620
_cell_length_b 16.6043
_cell_length_c 6.8431
_cell_angle_alpha 90.00
_cell_angle_beta 101.62
_cell_angle_gamma 90.00
loop_
_atom_site_label
_atom_site_fract_x
_atom_site_fract_y
_atom_site_fract_z
Nd1 0.0000 0.0000 0.0000
Nd2 0.1459 0.1560 0.8562
Nd3 0.3041 0.5000 0.6775
Er1 0.1473 0.3960 0.3563
Er2 0.1577 0.1953 0.3743
Er3 0.2975 0.5000 0.1723
Er4 0.3024 0.2957 0.1724
Er5 0.3383 0.1038 0.7214
Er6 0.4830 0.2054 0.5287
Er7 0.4861 0.0000 0.5297
Tm1 0.1407 0.3887 0.8511
Tm2 0.1643 0.0000 0.4514
Tm3 0.3163 0.3008 0.6785
Tm4 0.3266 0.0997 0.2199
Tm5 0.4721 0.4010 0.4572
Tm6 0.4861 0.2257 0.0368
Tm7 0.4906 0.0000 0.0384
```

---

No. 11
Simulated powder XRD pattern
Compound: Sm4CdIr2
Radiation: Cu Kα
Structure: a DFT-relaxed cell (GGA-PBE, Alexandria)
Neutral-atom scattering factors, no anomalous dispersion.

Principal peaks in the range 15 to 90 degrees two-theta, low angle first:
| Position (°2θ) | I/Imax | h k l |
| --- | --- | --- |
| 17.25 | 18.6 | 0 0 6 |
| 22.17 | 26.7 | 1 0 1 |
| 24.86 | 30.0 | 1 0 4 |
| 26.35 | 23.8 | 0 1 5 |
| 29.99 | 16.5 | 1 0 7 |
| 36.64 | 100.0 | 1 0 10 |
| 38.57 | 96.0 | 1 1 0 |
| 39.09 | 14.5 | 0 1 11 |
| 54.25 | 32.4 | 0 2 10 |
| 64.68 | 14.0 | 0 1 20 |
| 68.52 | 32.1 | 2 1 10 |
| 69.78 | 16.8 | 3 0 0 |

Cell and atoms:
```
data_Sm4CdIr2
_space_group_name_H-M_alt 'R -3 m'
_space_group_IT_number 166
_space_group_name_Hall '-R 3 2"'
_cell_length_a 4.6687
_cell_length_b 4.6687
_cell_length_c 30.8486
_cell_angle_alpha 90.00
_cell_angle_beta 90.00
_cell_angle_gamma 120.00
loop_
_atom_site_label
_atom_site_fract_x
_atom_site_fract_y
_atom_site_fract_z
Sm1 0.0000 0.0000 0.1088
Sm2 0.0000 0.0000 0.2987
Cd1 0.0000 0.0000 0.5000
Ir1 0.0000 0.0000 0.4032
```